Diffraction record for Al2Hg3Cl8. The powder X-ray diffraction pattern is computed, not measured: it uses a DFT-relaxed cell (PBE, the Materials Project) and Cu Kα, 1.54184 Å.
Neutral-atom scattering factors, no anomalous dispersion.

Most intense lines, 2θ from 5° to 70°, by angle:
h k l  2θ (°)  Rel. int.
0 1 1  8.2  42
1 1 0  13.5  39
0 2 2  16.5  100
1 2 0  16.6  64
1 0 2  18.4  84
0 1 3  19.0  31
1 3 -3  26.5  64
1 4 -2  27.6  32
1 2 4  31.0  33
2 4 -2  34.5  34

```
Al2Hg3Cl8
1.0
7.3003 0.0000 0.0000
0.0000 15.9183 0.0000
-2.1120 0.0000 14.6424
Al Hg Cl
8 12 32
Direct
0.1018 0.1833 0.0925
0.1018 0.3167 0.5925
0.3053 0.6001 0.7790
0.3053 0.8999 0.2790
0.6947 0.1001 0.7210
0.6947 0.3999 0.2210
0.8982 0.6833 0.4075
0.8982 0.8167 0.9075
0.1306 0.5287 0.1982
0.1306 0.9713 0.6982
0.3093 0.6399 0.1090
0.3093 0.8601 0.6090
0.4836 0.7405 0.5304
0.4836 0.7595 0.0304
0.5164 0.2405 0.9696
0.5164 0.2595 0.4696
0.6907 0.1399 0.3910
0.6907 0.3601 0.8910
0.8694 0.0287 0.3018
0.8694 0.4713 0.8018
0.0191 0.5841 0.7072
0.0191 0.9159 0.2072
0.0949 0.1887 0.5445
0.0949 0.3113 0.0445
0.1452 0.6147 0.4562
0.1452 0.8853 0.9562
0.1727 0.1716 0.2375
0.1727 0.3284 0.7375
0.3254 0.1211 0.0284
0.3254 0.3789 0.5284
0.3265 0.5237 0.9000
0.3265 0.9763 0.4000
0.3421 0.7313 0.8100
0.3421 0.7687 0.3100
0.4933 0.5623 0.6881
0.4933 0.9377 0.1881
0.5067 0.0623 0.8119
0.5067 0.4377 0.3119
0.6579 0.2313 0.6900
0.6579 0.2687 0.1900
0.6735 0.0237 0.6000
0.6735 0.4763 0.1000
0.6746 0.6211 0.4716
0.6746 0.8789 0.9716
0.8273 0.6716 0.2625
0.8273 0.8284 0.7625
0.8548 0.1147 0.0438
0.8548 0.3853 0.5438
0.9051 0.6887 0.9555
0.9051 0.8113 0.4555
0.9809 0.0841 0.7928
0.9809 0.4159 0.2928
```